(1)
For Ac2GePd, a DFT-relaxed cell (PBE, the Materials Project) gives the theoretical XRD peak list in this record (Cu Kα X-rays).
Neutral-atom scattering factors, no anomalous dispersion.

Main lines, by intensity (2θ = 10–90°):
32.8 deg, d = 2.732 Å, intensity 100; 58.5 deg, d = 1.577 Å, intensity 39; 23.0 deg, d = 3.864 Å, intensity 20; 47.0 deg, d = 1.932 Å, intensity 19; 78.2 deg, d = 1.222 Å, intensity 17; 68.7 deg, d = 1.366 Å, intensity 12; 53.0 deg, d = 1.728 Å, intensity 9; 40.4 deg, d = 2.231 Å, intensity 6; 73.5 deg, d = 1.288 Å, intensity 5; 87.4 deg, d = 1.115 Å, intensity 4; 82.9 deg, d = 1.165 Å, intensity 3; 19.9 deg, d = 4.462 Å, intensity 1

Cell and atoms:
Cell lengths 5.464, 5.464, 5.464 Å; angles 60.00, 60.00, 60.00 degrees
Atoms (fractional coordinates):
Ac 0.250 0.250 0.250
Ac 0.750 0.750 0.750
Ge 0.000 0.000 0.000
Pd 0.500 0.500 0.500

---

(2)
For K4SrSi3O9, a DFT-relaxed cell (PBE, the Materials Project) gives the theoretical XRD peak list in this record (Cu Kα X-rays).
Neutral-atom scattering factors, no anomalous dispersion.

Main lines, by intensity (2θ = 10–90°):
31.2 deg, d = 2.870 Å, intensity 100; 29.6 deg, d = 3.018 Å, intensity 45; 32.1 deg, d = 2.784 Å, intensity 25; 44.3 deg, d = 2.045 Å, intensity 22; 20.7 deg, d = 4.282 Å, intensity 20; 39.3 deg, d = 2.290 Å, intensity 12; 14.7 deg, d = 6.029 Å, intensity 10; 56.7 deg, d = 1.623 Å, intensity 10; 34.2 deg, d = 2.621 Å, intensity 9; 39.0 deg, d = 2.310 Å, intensity 9; 57.1 deg, d = 1.612 Å, intensity 8; 42.2 deg, d = 2.141 Å, intensity 8

Cell and atoms:
Cell lengths 11.137, 7.250, 7.250 Å; angles 67.49, 90.00, 90.00 degrees
Atoms (fractional coordinates):
K 0.000 0.000 0.000
K 0.000 0.445 0.445
K 0.250 0.720 0.272
K 0.250 0.842 0.736
K 0.500 0.000 0.000
K 0.500 0.445 0.445
K 0.750 0.272 0.720
K 0.750 0.736 0.842
Sr 0.250 0.226 0.246
Sr 0.750 0.246 0.226
Si 0.031 0.519 0.908
Si 0.250 0.311 0.761
Si 0.469 0.519 0.908
Si 0.531 0.908 0.519
Si 0.750 0.761 0.311
Si 0.969 0.908 0.519
O 0.000 0.759 0.759
O 0.090 0.948 0.386
O 0.102 0.527 0.099
O 0.129 0.446 0.771
O 0.250 0.100 0.952
O 0.250 0.299 0.543
O 0.371 0.446 0.771
O 0.398 0.527 0.099
O 0.410 0.948 0.386
O 0.500 0.759 0.759
O 0.590 0.386 0.948
O 0.602 0.099 0.527
O 0.629 0.771 0.446
O 0.750 0.543 0.299
O 0.750 0.952 0.100
O 0.871 0.771 0.446
O 0.898 0.099 0.527
O 0.910 0.386 0.948

---

(3)
For U, a DFT-relaxed cell (PBE, the Materials Project) gives the theoretical XRD peak list in this record (Cu Kα X-rays).
Neutral-atom scattering factors, no anomalous dispersion.

Main lines, by intensity (2θ = 10–90°):
39.0 deg, d = 2.310 Å, intensity 100; 35.5 deg, d = 2.531 Å, intensity 94; 37.2 deg, d = 2.418 Å, intensity 77; 40.0 deg, d = 2.255 Å, intensity 45; 36.5 deg, d = 2.459 Å, intensity 45; 61.3 deg, d = 1.512 Å, intensity 42; 36.1 deg, d = 2.485 Å, intensity 32; 31.7 deg, d = 2.827 Å, intensity 27; 77.3 deg, d = 1.234 Å, intensity 25; 66.1 deg, d = 1.413 Å, intensity 20; 65.1 deg, d = 1.433 Å, intensity 19; 42.1 deg, d = 2.147 Å, intensity 18

Cell and atoms:
Cell lengths 10.434, 10.434, 5.653 Å; angles 90.00, 90.00, 90.00 degrees
Atoms (fractional coordinates):
U 0.000 0.000 0.000
U 0.047 0.362 0.500
U 0.056 0.266 0.000
U 0.111 0.111 0.500
U 0.138 0.547 0.000
U 0.180 0.820 0.274
U 0.180 0.820 0.726
U 0.234 0.556 0.500
U 0.266 0.056 0.000
U 0.320 0.320 0.226
U 0.320 0.320 0.774
U 0.362 0.047 0.500
U 0.389 0.611 0.000
U 0.444 0.766 0.500
U 0.453 0.862 0.000
U 0.500 0.500 0.500
U 0.547 0.138 0.000
U 0.556 0.234 0.500
U 0.611 0.389 0.000
U 0.638 0.953 0.500
U 0.680 0.680 0.226
U 0.680 0.680 0.774
U 0.734 0.944 0.000
U 0.766 0.444 0.500
U 0.820 0.180 0.274
U 0.820 0.180 0.726
U 0.862 0.453 0.000
U 0.889 0.889 0.500
U 0.944 0.734 0.000
U 0.953 0.638 0.500

---

(4)
For Si2SbO6, a DFT-relaxed cell (PBE, the Materials Project) gives the theoretical XRD peak list in this record (Cu Kα X-rays).
Neutral-atom scattering factors, no anomalous dispersion.

Main lines, by intensity (2θ = 10–90°):
19.1 deg, d = 4.649 Å, intensity 100; 28.3 deg, d = 3.152 Å, intensity 95; 13.4 deg, d = 6.614 Å, intensity 92; 24.3 deg, d = 3.659 Å, intensity 55; 30.1 deg, d = 2.971 Å, intensity 54; 35.6 deg, d = 2.520 Å, intensity 36; 34.8 deg, d = 2.578 Å, intensity 29; 30.4 deg, d = 2.944 Å, intensity 22; 33.4 deg, d = 2.684 Å, intensity 21; 41.2 deg, d = 2.193 Å, intensity 19; 53.8 deg, d = 1.703 Å, intensity 18; 40.5 deg, d = 2.226 Å, intensity 16

Cell and atoms:
Cell lengths 6.836, 6.836, 5.492 Å; angles 104.62, 104.62, 85.73 degrees
Atoms (fractional coordinates):
Si 0.118 0.278 0.240
Si 0.278 0.118 0.740
Si 0.722 0.882 0.260
Si 0.882 0.722 0.760
Sb 0.379 0.621 0.750
Sb 0.621 0.379 0.250
O 0.102 0.614 0.817
O 0.133 0.158 0.469
O 0.158 0.133 0.969
O 0.308 0.447 0.353
O 0.386 0.898 0.683
O 0.447 0.308 0.853
O 0.553 0.692 0.147
O 0.614 0.102 0.317
O 0.692 0.553 0.647
O 0.842 0.867 0.031
O 0.867 0.842 0.531
O 0.898 0.386 0.183

---

(5)
For Pr4As2S9, a DFT-relaxed cell (PBE, the Materials Project) gives the theoretical XRD peak list in this record (Cu Kα X-rays).
Neutral-atom scattering factors, no anomalous dispersion.

Main lines, by intensity (2θ = 10–90°):
21.4 deg, d = 4.153 Å, intensity 100; 23.3 deg, d = 3.826 Å, intensity 99; 36.9 deg, d = 2.435 Å, intensity 80; 30.1 deg, d = 2.973 Å, intensity 70; 27.6 deg, d = 3.229 Å, intensity 65; 36.3 deg, d = 2.477 Å, intensity 64; 35.2 deg, d = 2.553 Å, intensity 55; 32.1 deg, d = 2.792 Å, intensity 49; 18.0 deg, d = 4.915 Å, intensity 48; 40.9 deg, d = 2.208 Å, intensity 48; 44.2 deg, d = 2.050 Å, intensity 46; 47.5 deg, d = 1.914 Å, intensity 46

Cell and atoms:
Cell lengths 29.492, 7.076, 7.140 Å; angles 90.00, 90.00, 90.00 degrees
Atoms (fractional coordinates):
Pr 0.057 0.204 0.044
Pr 0.057 0.796 0.544
Pr 0.207 0.297 0.322
Pr 0.207 0.703 0.822
Pr 0.293 0.203 0.822
Pr 0.293 0.797 0.322
Pr 0.443 0.296 0.544
Pr 0.443 0.704 0.044
Pr 0.557 0.296 0.956
Pr 0.557 0.704 0.456
Pr 0.707 0.203 0.678
Pr 0.707 0.797 0.178
Pr 0.793 0.297 0.178
Pr 0.793 0.703 0.678
Pr 0.943 0.204 0.456
Pr 0.943 0.796 0.956
As 0.096 0.305 0.575
As 0.096 0.695 0.075
As 0.404 0.195 0.075
As 0.404 0.805 0.575
As 0.596 0.195 0.425
As 0.596 0.805 0.925
As 0.904 0.305 0.925
As 0.904 0.695 0.425
S 0.000 0.062 0.750
S 0.000 0.938 0.250
S 0.041 0.418 0.384
S 0.041 0.582 0.884
S 0.120 0.075 0.371
S 0.120 0.925 0.871
S 0.144 0.445 0.021
S 0.144 0.555 0.521
S 0.236 0.000 0.073
S 0.236 0.000 0.573
S 0.264 0.500 0.073
S 0.264 0.500 0.573
S 0.356 0.055 0.521
S 0.356 0.945 0.021
S 0.380 0.425 0.871
S 0.380 0.575 0.371
S 0.459 0.082 0.884
S 0.459 0.918 0.384
S 0.500 0.438 0.250
S 0.500 0.562 0.750
S 0.541 0.082 0.616
S 0.541 0.918 0.116
S 0.620 0.425 0.629
S 0.620 0.575 0.129
S 0.644 0.055 0.979
S 0.644 0.945 0.479
S 0.736 0.500 0.427
S 0.736 0.500 0.927
S 0.764 0.000 0.427
S 0.764 0.000 0.927
S 0.856 0.445 0.479
S 0.856 0.555 0.979
S 0.880 0.075 0.129
S 0.880 0.925 0.629
S 0.959 0.418 0.116
S 0.959 0.582 0.616

---

(6)
For MnBiS2Br, a DFT-relaxed cell (PBE, the Materials Project) gives the theoretical XRD peak list in this record (Cu Kα X-rays).
Neutral-atom scattering factors, no anomalous dispersion.

Main lines, by intensity (2θ = 10–90°):
30.9 deg, d = 2.892 Å, intensity 100; 23.6 deg, d = 3.770 Å, intensity 87; 31.1 deg, d = 2.873 Å, intensity 67; 46.0 deg, d = 1.971 Å, intensity 65; 13.9 deg, d = 6.382 Å, intensity 53; 32.5 deg, d = 2.754 Å, intensity 50; 25.4 deg, d = 3.513 Å, intensity 48; 32.2 deg, d = 2.781 Å, intensity 45; 16.5 deg, d = 5.367 Å, intensity 40; 37.2 deg, d = 2.419 Å, intensity 34; 30.1 deg, d = 2.966 Å, intensity 33; 25.5 deg, d = 3.494 Å, intensity 31

Cell and atoms:
Cell lengths 6.682, 6.682, 9.528 Å; angles 91.43, 91.43, 34.33 degrees
Atoms (fractional coordinates):
Mn 0.000 0.000 0.000
Mn 0.000 0.000 0.500
Bi 0.285 0.285 0.697
Bi 0.715 0.715 0.303
S 0.071 0.071 0.255
S 0.364 0.364 0.446
S 0.636 0.636 0.554
S 0.929 0.929 0.745
Br 0.366 0.366 0.066
Br 0.634 0.634 0.934

---

(7)
For GaCl2, a DFT-relaxed cell (PBE, the Materials Project) gives the theoretical XRD peak list in this record (Cu Kα X-rays).
Neutral-atom scattering factors, no anomalous dispersion.

Main lines, by intensity (2θ = 10–90°):
23.6 deg, d = 3.771 Å, intensity 100; 17.9 deg, d = 4.959 Å, intensity 35; 32.0 deg, d = 2.795 Å, intensity 30; 34.9 deg, d = 2.567 Å, intensity 25; 38.1 deg, d = 2.365 Å, intensity 23; 27.9 deg, d = 3.203 Å, intensity 17; 31.2 deg, d = 2.868 Å, intensity 17; 40.8 deg, d = 2.212 Å, intensity 16; 39.7 deg, d = 2.271 Å, intensity 16; 29.7 deg, d = 3.005 Å, intensity 14; 12.6 deg, d = 7.001 Å, intensity 14; 46.4 deg, d = 1.959 Å, intensity 14

Cell and atoms:
Cell lengths 7.203, 9.885, 9.918 Å; angles 90.00, 90.00, 90.00 degrees
Atoms (fractional coordinates):
Ga 0.173 0.250 0.250
Ga 0.250 0.000 0.681
Ga 0.250 0.500 0.819
Ga 0.327 0.750 0.250
Ga 0.673 0.250 0.750
Ga 0.750 0.000 0.319
Ga 0.750 0.500 0.181
Ga 0.827 0.750 0.750
Cl 0.006 0.040 0.810
Cl 0.006 0.460 0.690
Cl 0.165 0.675 0.943
Cl 0.165 0.825 0.557
Cl 0.335 0.175 0.557
Cl 0.335 0.325 0.943
Cl 0.494 0.540 0.690
Cl 0.494 0.960 0.810
Cl 0.506 0.040 0.190
Cl 0.506 0.460 0.310
Cl 0.665 0.675 0.057
Cl 0.665 0.825 0.443
Cl 0.835 0.175 0.443
Cl 0.835 0.325 0.057
Cl 0.994 0.540 0.310
Cl 0.994 0.960 0.190

---

Please write out number 6 again, unchanged.
For MnBiS2Br, a DFT-relaxed cell (PBE, the Materials Project) gives the theoretical XRD peak list in this record (Cu Kα X-rays).
Neutral-atom scattering factors, no anomalous dispersion.

Main lines, by intensity (2θ = 10–90°):
30.9 deg, d = 2.892 Å, intensity 100; 23.6 deg, d = 3.770 Å, intensity 87; 31.1 deg, d = 2.873 Å, intensity 67; 46.0 deg, d = 1.971 Å, intensity 65; 13.9 deg, d = 6.382 Å, intensity 53; 32.5 deg, d = 2.754 Å, intensity 50; 25.4 deg, d = 3.513 Å, intensity 48; 32.2 deg, d = 2.781 Å, intensity 45; 16.5 deg, d = 5.367 Å, intensity 40; 37.2 deg, d = 2.419 Å, intensity 34; 30.1 deg, d = 2.966 Å, intensity 33; 25.5 deg, d = 3.494 Å, intensity 31

Cell and atoms:
Cell lengths 6.682, 6.682, 9.528 Å; angles 91.43, 91.43, 34.33 degrees
Atoms (fractional coordinates):
Mn 0.000 0.000 0.000
Mn 0.000 0.000 0.500
Bi 0.285 0.285 0.697
Bi 0.715 0.715 0.303
S 0.071 0.071 0.255
S 0.364 0.364 0.446
S 0.636 0.636 0.554
S 0.929 0.929 0.745
Br 0.366 0.366 0.066
Br 0.634 0.634 0.934